The following is a computed powder diffractogram of BaUV2O8. It was derived from a cell relaxed with PBE+U, using Cu Kα X-rays.
Intensities are scaled so that the largest is 100.

Principal peaks in the range 2θ from 10° to 80°, sorted by position:
- 17.62°, rel. 100, (1 0 0)
- 21.20°, rel. 42, (0 1 1)
- 29.53°, rel. 89, (0 1 2)
- 30.76°, rel. 59, (1 1 0)
- 39.08°, rel. 29, (2 -1 2)
- 43.17°, rel. 42, (0 2 2)
- 47.80°, rel. 18, (1 2 0)
- 51.61°, rel. 12, (1 0 4)
- 53.94°, rel. 34, (3 -2 2)
- 54.70°, rel. 12, (3 0 0)
- 58.18°, rel. 21, (1 1 4)
- 72.11°, rel. 15, (4 -3 2)

Structure:
Cell: 5.813 5.813 7.568 Å, 90.00 90.00 120.00°
Element x y z (fractional)
Ba  0.000  0.000  0.000
U  0.000  0.000  0.500
V  0.333  0.667  0.763
V  0.667  0.333  0.237
O  0.161  0.331  0.688
O  0.170  0.839  0.688
O  0.331  0.170  0.312
O  0.333  0.667  0.984
O  0.667  0.333  0.016
O  0.669  0.830  0.688
O  0.830  0.161  0.312
O  0.839  0.669  0.312